No. 1
Theoretical X-ray powder pattern of K2SiAs2 for copper Kα, from the PBE geometry in the Materials Project.

Structural model:
Lattice parameters (Å, degrees): 8.2489 8.2489 8.2489 129.22 70.87 134.06
Fractional coordinates of all 10 atoms:
K1 0.1431 0.1649 0.3080
K2 0.3569 0.6649 0.0218
K3 0.6431 0.3351 0.9782
K4 0.8569 0.8351 0.6920
Si1 0.2500 0.7500 0.5000
Si2 0.7500 0.2500 0.5000
As1 0.1009 0.6652 0.7661
As2 0.3991 0.1652 0.5643
As3 0.6009 0.8348 0.4357
As4 0.8991 0.3348 0.2339

Principal peaks in the range 10° ≤ 2θ ≤ 90°, by angle:
- 14.15 deg, rel. 72
- 22.89 deg, rel. 33
- 26.52 deg, rel. 53
- 27.71 deg, rel. 69
- 29.57 deg, rel. 100
- 32.61 deg, rel. 47
- 35.20 deg, rel. 84
- 38.74 deg, rel. 69



No. 2
Theoretical X-ray powder pattern of KSi3As3 for copper Kα, from the PBE geometry in the Materials Project.

Structural model:
Lattice parameters (Å, degrees): 10.1517 19.4501 3.7176 90.00 90.00 90.00
Fractional coordinates of all 28 atoms:
K1 0.1960 0.1952 0.0000
K2 0.3040 0.6952 0.0000
K3 0.6960 0.3048 0.0000
K4 0.8040 0.8048 0.0000
Si1 0.0926 0.4639 0.5000
Si2 0.1118 0.9848 0.0000
Si3 0.1744 0.8684 0.0000
Si4 0.3256 0.3684 0.0000
Si5 0.3882 0.4848 0.0000
Si6 0.4074 0.9639 0.5000
Si7 0.5926 0.0361 0.5000
Si8 0.6118 0.5152 0.0000
Si9 0.6744 0.6316 0.0000
Si10 0.8256 0.1316 0.0000
Si11 0.8882 0.0152 0.0000
Si12 0.9074 0.5361 0.5000
As1 0.0868 0.3853 0.0000
As2 0.1008 0.8034 0.5000
As3 0.2189 0.0407 0.5000
As4 0.2811 0.5407 0.5000
As5 0.3992 0.3034 0.5000
As6 0.4132 0.8853 0.0000
As7 0.5868 0.1147 0.0000
As8 0.6008 0.6966 0.5000
As9 0.7189 0.4593 0.5000
As10 0.7811 0.9593 0.5000
As11 0.8992 0.1966 0.5000
As12 0.9132 0.6147 0.0000

Principal peaks in the range 10° ≤ 2θ ≤ 90°, by angle:
- 24.51 deg, rel. 86
- 27.92 deg, rel. 100
- 29.05 deg, rel. 52
- 30.15 deg, rel. 56
- 30.26 deg, rel. 52
- 31.55 deg, rel. 97
- 45.81 deg, rel. 59
- 53.32 deg, rel. 60



No. 3
Theoretical X-ray powder pattern of K5SnAs3 for copper Kα, from the PBE geometry in the Materials Project.

Structural model:
Lattice parameters (Å, degrees): 9.3726 8.4627 17.9693 90.00 121.06 90.00
Fractional coordinates of all 36 atoms:
K1 0.0536 0.0146 0.2443
K2 0.0536 0.4854 0.7443
K3 0.2336 0.5194 0.5763
K4 0.2336 0.9806 0.0763
K5 0.3371 0.6609 0.2588
K6 0.3371 0.8391 0.7588
K7 0.3414 0.1700 0.9197
K8 0.3414 0.3300 0.4197
K9 0.3940 0.0076 0.5864
K10 0.3940 0.4924 0.0864
K11 0.6060 0.5076 0.9136
K12 0.6060 0.9924 0.4136
K13 0.6586 0.6700 0.5803
K14 0.6586 0.8300 0.0803
K15 0.6629 0.1609 0.2412
K16 0.6629 0.3391 0.7412
K17 0.7664 0.0194 0.9237
K18 0.7664 0.4806 0.4237
K19 0.9464 0.5146 0.2557
K20 0.9464 0.9854 0.7557
Sn1 0.0118 0.1406 0.5855
Sn2 0.0118 0.3594 0.0855
Sn3 0.9882 0.6406 0.9145
Sn4 0.9882 0.8594 0.4145
As1 0.0153 0.1842 0.4346
As2 0.0153 0.3157 0.9346
As3 0.2591 0.7404 0.4202
As4 0.2591 0.7596 0.9202
As5 0.3014 0.2276 0.7238
As6 0.3014 0.2724 0.2238
As7 0.6986 0.7276 0.7762
As8 0.6986 0.7724 0.2762
As9 0.7409 0.2404 0.0798
As10 0.7409 0.2596 0.5798
As11 0.9847 0.6842 0.0654
As12 0.9847 0.8158 0.5654

Principal peaks in the range 10° ≤ 2θ ≤ 90°, by angle:
- 11.03 deg, rel. 79
- 27.78 deg, rel. 43
- 27.94 deg, rel. 40
- 28.97 deg, rel. 100
- 33.17 deg, rel. 52
- 33.48 deg, rel. 38
- 33.69 deg, rel. 36
- 34.98 deg, rel. 55



No. 4
Theoretical X-ray powder pattern of K6Sn3As5 for copper Kα, from the PBE geometry in the Materials Project.

Structural model:
Lattice parameters (Å, degrees): 10.8814 15.0382 11.1386 90.00 90.00 90.00
Fractional coordinates of all 56 atoms:
K1 0.0421 0.1027 0.1049
K2 0.0421 0.3973 0.1049
K3 0.0480 0.1015 0.7000
K4 0.0480 0.3985 0.7000
K5 0.2500 0.0304 0.4113
K6 0.2500 0.2500 0.9006
K7 0.2500 0.4696 0.4113
K8 0.2500 0.7500 0.4177
K9 0.4520 0.1015 0.7000
K10 0.4520 0.3985 0.7000
K11 0.4579 0.1027 0.1049
K12 0.4579 0.3973 0.1049
K13 0.5421 0.6027 0.8951
K14 0.5421 0.8973 0.8951
K15 0.5480 0.6015 0.3000
K16 0.5480 0.8985 0.3000
K17 0.7500 0.2500 0.5823
K18 0.7500 0.5304 0.5887
K19 0.7500 0.7500 0.0994
K20 0.7500 0.9696 0.5887
K21 0.9520 0.6015 0.3000
K22 0.9520 0.8985 0.3000
K23 0.9579 0.6027 0.8951
K24 0.9579 0.8973 0.8951
Sn1 0.0810 0.2500 0.3958
Sn2 0.2500 0.6244 0.1193
Sn3 0.2500 0.6477 0.7326
Sn4 0.2500 0.8523 0.7326
Sn5 0.2500 0.8756 0.1193
Sn6 0.4190 0.2500 0.3958
Sn7 0.5810 0.7500 0.6042
Sn8 0.7500 0.1244 0.8807
Sn9 0.7500 0.1477 0.2674
Sn10 0.7500 0.3523 0.2674
Sn11 0.7500 0.3756 0.8807
Sn12 0.9190 0.7500 0.6042
As1 0.0575 0.6058 0.5920
As2 0.0575 0.8942 0.5920
As3 0.0679 0.7500 0.1011
As4 0.2500 0.2500 0.2175
As5 0.2500 0.2500 0.5741
As6 0.2500 0.5244 0.9106
As7 0.2500 0.9756 0.9106
As8 0.4321 0.7500 0.1011
As9 0.4425 0.6058 0.5920
As10 0.4425 0.8942 0.5920
As11 0.5575 0.1058 0.4080
As12 0.5575 0.3942 0.4080
As13 0.5679 0.2500 0.8989
As14 0.7500 0.0244 0.0894
As15 0.7500 0.4756 0.0894
As16 0.7500 0.7500 0.4259
As17 0.7500 0.7500 0.7825
As18 0.9321 0.2500 0.8989
As19 0.9425 0.1058 0.4080
As20 0.9425 0.3942 0.4080

Principal peaks in the range 10° ≤ 2θ ≤ 90°, by angle:
- 12.81 deg, rel. 27
- 16.98 deg, rel. 50
- 19.50 deg, rel. 35
- 29.06 deg, rel. 28
- 29.77 deg, rel. 100
- 29.97 deg, rel. 26
- 31.49 deg, rel. 54
- 42.32 deg, rel. 47



No. 5
Theoretical X-ray powder pattern of K7TaAs4 for copper Kα, from the PBE geometry in the Materials Project.

Structural model:
Lattice parameters (Å, degrees): 10.3712 9.2486 8.4187 90.00 90.00 90.00
Fractional coordinates of all 24 atoms:
K1 0.0000 0.0343 0.0000
K2 0.0000 0.3386 0.7842
K3 0.0000 0.8917 0.5130
K4 0.2116 0.5341 0.4944
K5 0.2172 0.1664 0.3319
K6 0.2828 0.8336 0.8319
K7 0.2884 0.4659 0.9944
K8 0.5000 0.1083 0.0130
K9 0.5000 0.6614 0.2842
K10 0.5000 0.9657 0.5000
K11 0.7116 0.4659 0.9944
K12 0.7172 0.8336 0.8319
K13 0.7828 0.1664 0.3319
K14 0.7884 0.5341 0.4944
Ta1 0.0000 0.6731 0.1211
Ta2 0.5000 0.3269 0.6211
As1 0.0000 0.4098 0.2003
As2 0.0000 0.6821 0.8235
As3 0.2015 0.8062 0.2162
As4 0.2985 0.1938 0.7162
As5 0.5000 0.3179 0.3235
As6 0.5000 0.5902 0.7003
As7 0.7015 0.1938 0.7162
As8 0.7985 0.8062 0.2162

Principal peaks in the range 10° ≤ 2θ ≤ 90°, by angle:
- 12.82 deg, rel. 87
- 13.55 deg, rel. 100
- 14.23 deg, rel. 57
- 27.92 deg, rel. 67
- 28.98 deg, rel. 59
- 33.83 deg, rel. 67
- 34.57 deg, rel. 53
- 54.39 deg, rel. 33



No. 6
Theoretical X-ray powder pattern of K2Zn5As4 for copper Kα, from the PBE geometry in the Materials Project.

Structural model:
Lattice parameters (Å, degrees): 6.8740 6.8740 11.7732 90.00 90.00 62.89
Fractional coordinates of all 22 atoms:
K1 0.2142 0.2142 0.0000
K2 0.2142 0.2142 0.5000
K3 0.7858 0.7858 0.0000
K4 0.7858 0.7858 0.5000
Zn1 0.0070 0.9930 0.7500
Zn2 0.2431 0.4709 0.7500
Zn3 0.3477 0.6523 0.1086
Zn4 0.3477 0.6523 0.3914
Zn5 0.4709 0.2431 0.2500
Zn6 0.5291 0.7569 0.7500
Zn7 0.6523 0.3477 0.6086
Zn8 0.6523 0.3477 0.8914
Zn9 0.7569 0.5291 0.2500
Zn10 0.9930 0.0070 0.2500
As1 0.0845 0.6001 0.2500
As2 0.2766 0.7234 0.5986
As3 0.2766 0.7234 0.9014
As4 0.3999 0.9155 0.2500
As5 0.6001 0.0845 0.7500
As6 0.7234 0.2766 0.0986
As7 0.7234 0.2766 0.4014
As8 0.9155 0.3999 0.7500

Principal peaks in the range 10° ≤ 2θ ≤ 90°, by angle:
- 15.08 deg, rel. 100
- 30.14 deg, rel. 62
- 33.00 deg, rel. 49
- 33.83 deg, rel. 27
- 34.12 deg, rel. 69
- 38.43 deg, rel. 27
- 45.09 deg, rel. 71
- 50.79 deg, rel. 28



No. 7
Theoretical X-ray powder pattern of LaAs3 for copper Kα, from the PBE geometry in the Materials Project.

Structural model:
Lattice parameters (Å, degrees): 6.3139 6.3139 5.8198 90.00 90.00 120.00
Fractional coordinates of all 8 atoms:
La1 0.3333 0.6667 0.2500
La2 0.6667 0.3333 0.7500
As1 0.1984 0.3968 0.7500
As2 0.1984 0.8016 0.7500
As3 0.3968 0.1984 0.2500
As4 0.6032 0.8016 0.7500
As5 0.8016 0.1984 0.2500
As6 0.8016 0.6032 0.2500

Principal peaks in the range 10° ≤ 2θ ≤ 90°, by angle:
- 16.21 deg, rel. 29
- 30.73 deg, rel. 43
- 32.76 deg, rel. 24
- 36.30 deg, rel. 100
- 45.52 deg, rel. 19
- 46.64 deg, rel. 16
- 58.32 deg, rel. 25
- 67.51 deg, rel. 14



No. 8
Theoretical X-ray powder pattern of LaAs for copper Kα, from the PBE geometry in the Materials Project.

Structural model:
Lattice parameters (Å, degrees): 3.9012 3.9012 3.3887 90.00 90.00 90.00
Fractional coordinates of all 2 atoms:
La1 0.0000 0.0000 0.0000
As1 0.5000 0.5000 0.5000

Principal peaks in the range 10° ≤ 2θ ≤ 90°, by angle:
- 22.79 deg, rel. 11
- 32.46 deg, rel. 62
- 35.08 deg, rel. 100
- 46.56 deg, rel. 22
- 59.60 deg, rel. 43
- 64.55 deg, rel. 17
- 74.12 deg, rel. 11
- 77.35 deg, rel. 10



What did the fourth record say?
Theoretical X-ray powder pattern of K6Sn3As5 for copper Kα, from the PBE geometry in the Materials Project.

Structural model:
Lattice parameters (Å, degrees): 10.8814 15.0382 11.1386 90.00 90.00 90.00
Fractional coordinates of all 56 atoms:
K1 0.0421 0.1027 0.1049
K2 0.0421 0.3973 0.1049
K3 0.0480 0.1015 0.7000
K4 0.0480 0.3985 0.7000
K5 0.2500 0.0304 0.4113
K6 0.2500 0.2500 0.9006
K7 0.2500 0.4696 0.4113
K8 0.2500 0.7500 0.4177
K9 0.4520 0.1015 0.7000
K10 0.4520 0.3985 0.7000
K11 0.4579 0.1027 0.1049
K12 0.4579 0.3973 0.1049
K13 0.5421 0.6027 0.8951
K14 0.5421 0.8973 0.8951
K15 0.5480 0.6015 0.3000
K16 0.5480 0.8985 0.3000
K17 0.7500 0.2500 0.5823
K18 0.7500 0.5304 0.5887
K19 0.7500 0.7500 0.0994
K20 0.7500 0.9696 0.5887
K21 0.9520 0.6015 0.3000
K22 0.9520 0.8985 0.3000
K23 0.9579 0.6027 0.8951
K24 0.9579 0.8973 0.8951
Sn1 0.0810 0.2500 0.3958
Sn2 0.2500 0.6244 0.1193
Sn3 0.2500 0.6477 0.7326
Sn4 0.2500 0.8523 0.7326
Sn5 0.2500 0.8756 0.1193
Sn6 0.4190 0.2500 0.3958
Sn7 0.5810 0.7500 0.6042
Sn8 0.7500 0.1244 0.8807
Sn9 0.7500 0.1477 0.2674
Sn10 0.7500 0.3523 0.2674
Sn11 0.7500 0.3756 0.8807
Sn12 0.9190 0.7500 0.6042
As1 0.0575 0.6058 0.5920
As2 0.0575 0.8942 0.5920
As3 0.0679 0.7500 0.1011
As4 0.2500 0.2500 0.2175
As5 0.2500 0.2500 0.5741
As6 0.2500 0.5244 0.9106
As7 0.2500 0.9756 0.9106
As8 0.4321 0.7500 0.1011
As9 0.4425 0.6058 0.5920
As10 0.4425 0.8942 0.5920
As11 0.5575 0.1058 0.4080
As12 0.5575 0.3942 0.4080
As13 0.5679 0.2500 0.8989
As14 0.7500 0.0244 0.0894
As15 0.7500 0.4756 0.0894
As16 0.7500 0.7500 0.4259
As17 0.7500 0.7500 0.7825
As18 0.9321 0.2500 0.8989
As19 0.9425 0.1058 0.4080
As20 0.9425 0.3942 0.4080

Principal peaks in the range 10° ≤ 2θ ≤ 90°, by angle:
- 12.81 deg, rel. 27
- 16.98 deg, rel. 50
- 19.50 deg, rel. 35
- 29.06 deg, rel. 28
- 29.77 deg, rel. 100
- 29.97 deg, rel. 26
- 31.49 deg, rel. 54
- 42.32 deg, rel. 47



Repeat the fifth record exactly.
Theoretical X-ray powder pattern of K7TaAs4 for copper Kα, from the PBE geometry in the Materials Project.

Structural model:
Lattice parameters (Å, degrees): 10.3712 9.2486 8.4187 90.00 90.00 90.00
Fractional coordinates of all 24 atoms:
K1 0.0000 0.0343 0.0000
K2 0.0000 0.3386 0.7842
K3 0.0000 0.8917 0.5130
K4 0.2116 0.5341 0.4944
K5 0.2172 0.1664 0.3319
K6 0.2828 0.8336 0.8319
K7 0.2884 0.4659 0.9944
K8 0.5000 0.1083 0.0130
K9 0.5000 0.6614 0.2842
K10 0.5000 0.9657 0.5000
K11 0.7116 0.4659 0.9944
K12 0.7172 0.8336 0.8319
K13 0.7828 0.1664 0.3319
K14 0.7884 0.5341 0.4944
Ta1 0.0000 0.6731 0.1211
Ta2 0.5000 0.3269 0.6211
As1 0.0000 0.4098 0.2003
As2 0.0000 0.6821 0.8235
As3 0.2015 0.8062 0.2162
As4 0.2985 0.1938 0.7162
As5 0.5000 0.3179 0.3235
As6 0.5000 0.5902 0.7003
As7 0.7015 0.1938 0.7162
As8 0.7985 0.8062 0.2162

Principal peaks in the range 10° ≤ 2θ ≤ 90°, by angle:
- 12.82 deg, rel. 87
- 13.55 deg, rel. 100
- 14.23 deg, rel. 57
- 27.92 deg, rel. 67
- 28.98 deg, rel. 59
- 33.83 deg, rel. 67
- 34.57 deg, rel. 53
- 54.39 deg, rel. 33